# 1
The following is a theoretical powder diffraction line list of ScPaNi6. It was derived from a structure optimized by DFT (GGA-PBE), using λ = 1.5418 Å (Cu Kα).

Crystal structure
Unit cell a=5.3335 b=5.3335 c=4.4010 alpha=90.00 beta=90.00 gamma=120.00
Space group P-6m2 (No. 187)
Symmetry-distinct sites (fractional):
Sc 0.0000 0.0000 0.0000 (multiplicity 1)
Pa 0.6667 0.3333 0.5000 (multiplicity 1)
Ni 0.0211 0.5106 0.0000 (multiplicity 3)
Ni 0.1754 0.3508 0.5000 (multiplicity 3)

Principal peaks in the range 2θ = 15–90°, by angle:
h k l	2θ/deg	intensity
1 0 0	19.22	32
1 0 1	28.00	28
2 0 0	39.00	29
0 0 2	41.02	28
2 0 1	44.29	100
2 0 2	57.88	18
2 0 3	77.01	18
2 2 2	85.07	18



# 2
The following is a theoretical powder diffraction line list of Pa3SiNi8. It was derived from a structure optimized by DFT (GGA-PBE), using λ = 1.5418 Å (Cu Kα).

Crystal structure
Unit cell a=4.9786 b=4.9786 c=8.2034 alpha=90.00 beta=90.00 gamma=120.00
Space group P3m1 (No. 156)
Symmetry-distinct sites (fractional):
Pa 0.0000 0.0000 0.0000 (multiplicity 1)
Pa 0.0000 0.0000 0.3945 (multiplicity 1)
Pa 0.6667 0.3333 0.5658 (multiplicity 1)
Si 0.6667 0.3333 0.9738 (multiplicity 1)
Ni 0.0010 0.5005 0.2091 (multiplicity 3)
Ni 0.1685 0.3370 0.7104 (multiplicity 3)
Ni 0.3333 0.6667 0.4542 (multiplicity 1)
Ni 0.3333 0.6667 0.9571 (multiplicity 1)

Principal peaks in the range 2θ = 15–90°, by angle:
h k l	2θ/deg	intensity
1 0 0	20.60	31
1 0 1	23.31	38
1 0 2	30.07	73
1 1 0	36.08	77
0 1 3	39.00	96
1 1 2	42.48	100
0 2 1	43.40	67
1 2 3	66.83	40



# 3
The following is a theoretical powder diffraction line list of Pa2Si3Ni5. It was derived from a structure optimized by DFT (GGA-PBE), using λ = 1.5418 Å (Cu Kα).

Crystal structure
Unit cell a=9.909 b=10.614 c=5.650 alpha=90.00 beta=90.00 gamma=90.00
Space group Ibam (No. 72)
Symmetry-distinct sites (fractional):
Pa 0.235 0.126 0.000 (multiplicity 8)
Si 0.000 0.500 0.250 (multiplicity 4)
Si 0.117 0.132 0.500 (multiplicity 8)
Ni 0.000 0.000 0.250 (multiplicity 4)
Ni 0.000 0.262 0.250 (multiplicity 8)
Ni 0.153 0.390 0.000 (multiplicity 8)

Principal peaks in the range 2θ = 15–90°, by angle:
h k l	2θ/deg	intensity
2 0 0	17.90	32
1 2 1	24.71	89
3 2 1	35.75	100
2 0 2	36.62	90
2 4 0	38.49	77
0 4 2	46.98	63
5 2 1	51.84	41
3 2 3	59.09	24



# 4
The following is a theoretical powder diffraction line list of Pa3Si2Ni7. It was derived from a structure optimized by DFT (GGA-PBE), using λ = 1.5418 Å (Cu Kα).

Crystal structure
Unit cell a=3.816 b=3.816 c=25.776 alpha=90.00 beta=90.00 gamma=90.00
Space group I4/mmm (No. 139)
Symmetry-distinct sites (fractional):
Pa 0.000 0.000 0.000 (multiplicity 2)
Pa 0.000 0.000 0.175 (multiplicity 4)
Si 0.000 0.000 0.375 (multiplicity 4)
Ni 0.000 0.000 0.283 (multiplicity 4)
Ni 0.000 0.000 0.500 (multiplicity 2)
Ni 0.000 0.500 0.075 (multiplicity 8)

Principal peaks in the range 2θ = 15–90°, by angle:
h k l	2θ/deg	intensity
0 0 6	20.68	26
1 0 1	23.57	37
1 0 5	29.11	44
1 1 0	33.20	42
1 1 6	39.43	100
1 0 11	45.42	40
2 0 0	47.66	48
2 1 11	67.95	25



# 5
The following is a theoretical powder diffraction line list of Pa4Si8Ni. It was derived from a structure optimized by DFT (GGA-PBE), using λ = 1.5418 Å (Cu Kα).

Crystal structure
Unit cell a=3.889 b=3.962 c=15.972 alpha=90.00 beta=90.00 gamma=90.00
Space group Pmm2 (No. 25)
Symmetry-distinct sites (fractional):
Pa 0.000 0.000 0.000 (multiplicity 1)
Pa 0.000 0.500 0.493 (multiplicity 1)
Pa 0.500 0.000 0.209 (multiplicity 1)
Pa 0.500 0.500 0.705 (multiplicity 1)
Si 0.000 0.000 0.351 (multiplicity 1)
Si 0.000 0.000 0.643 (multiplicity 1)
Si 0.000 0.500 0.149 (multiplicity 1)
Si 0.000 0.500 0.844 (multiplicity 1)
Si 0.500 0.000 0.554 (multiplicity 1)
Si 0.500 0.000 0.844 (multiplicity 1)
Si 0.500 0.500 0.063 (multiplicity 1)
Si 0.500 0.500 0.351 (multiplicity 1)
Ni 0.500 0.500 0.919 (multiplicity 1)

Principal peaks in the range 2θ = 15–90°, by angle:
h k l	2θ/deg	intensity
0 0 4	22.26	33
0 1 1	23.13	51
1 0 2	25.48	72
1 1 1	32.75	37
0 1 5	36.12	47
1 1 3	36.51	100
1 0 6	41.09	24
1 0 8	51.47	22



# 6
The following is a theoretical powder diffraction line list of Pa2Si3Ni2. It was derived from a structure optimized by DFT (GGA-PBE), using λ = 1.5418 Å (Cu Kα).

Crystal structure
Unit cell a=4.181 b=17.433 c=6.445 alpha=90.00 beta=90.00 gamma=90.00
Space group Cmcm (No. 63)
Symmetry-distinct sites (fractional):
Pa 0.000 0.050 0.250 (multiplicity 4)
Pa 0.000 0.159 0.750 (multiplicity 4)
Si 0.000 0.219 0.250 (multiplicity 4)
Si 0.000 0.437 0.066 (multiplicity 8)
Ni 0.000 0.309 0.554 (multiplicity 8)

Principal peaks in the range 2θ = 15–90°, by angle:
h k l	2θ/deg	intensity
1 1 0	21.86	41
0 4 1	24.66	49
0 0 2	27.68	24
0 6 1	33.84	26
1 1 2	35.55	75
1 5 1	36.33	100
2 0 0	43.28	28
0 4 3	47.17	28